Record 1
Starting from a DFT-relaxed cell (PBE, Alexandria), the X-ray diffraction stick pattern of RbPu2PtO8 was calculated for Cu Kα (weighted mean of Kα1 and Kα2).
Kinematic intensities with the Lorentz-polarization factor, no thermal factor.

Crystal structure
```
RbPu2PtO8
1.0
5.658 0.000 0.000
1.548 5.538 0.000
0.988 0.738 7.064
Rb Pu Pt O
1 2 1 8
Direct
0.000 0.000 0.000 Rb
0.496 0.497 0.264 Pu
0.504 0.503 0.736 Pu
0.000 0.000 0.500 Pt
0.186 0.774 0.693 O
0.227 0.813 0.307 O
0.355 0.362 0.490 O
0.360 0.365 0.963 O
0.640 0.635 0.037 O
0.645 0.638 0.510 O
0.773 0.187 0.693 O
0.814 0.226 0.307 O
```

Main lines, by angle (2θ from 10° to 90°):
two_theta  I_rel
19.8  100
25.8  47
28.6  31
28.7  31
31.5  22
31.7  22
32.5  22
33.1  20
38.1  19
38.4  19

Record 2
Starting from a DFT-relaxed cell (PBE, Alexandria), the X-ray diffraction stick pattern of ThTa2C3 was calculated for Cu Kα (weighted mean of Kα1 and Kα2).
Kinematic intensities with the Lorentz-polarization factor, no thermal factor.

Crystal structure
```
ThTa2C3
1.0
5.506 0.000 0.000
-2.753 4.769 0.000
0.000 0.000 6.211
Th Ta C
2 4 6
Direct
0.000 0.000 0.250 Th
0.000 0.000 0.750 Th
0.333 0.667 0.000 Ta
0.333 0.667 0.500 Ta
0.667 0.333 0.000 Ta
0.667 0.333 0.500 Ta
0.000 0.479 0.250 C
0.000 0.521 0.750 C
0.479 0.000 0.250 C
0.479 0.479 0.750 C
0.521 0.000 0.750 C
0.521 0.521 0.250 C
```

Main lines, by angle (2θ from 10° to 90°):
two_theta  I_rel
32.5  100
34.5  81
48.1  39
58.0  20
59.3  36
68.1  14
69.5  23
78.6  16
87.7  7
87.9  13

Record 3
Starting from a DFT-relaxed cell (PBE, Alexandria), the X-ray diffraction stick pattern of La2Nd3Tm6 was calculated for Cu Kα (weighted mean of Kα1 and Kα2).
Kinematic intensities with the Lorentz-polarization factor, no thermal factor.

Crystal structure
```
La2Nd3Tm6
1.0
3.109 -5.283 0.000
3.109 5.283 0.000
-1.713 0.000 11.535
La Nd Tm
2 3 6
Direct
0.178 0.822 0.000 La
0.822 0.178 0.000 La
0.000 0.000 0.500 Nd
0.336 0.664 0.500 Nd
0.664 0.336 0.500 Nd
0.073 0.406 0.747 Tm
0.262 0.262 0.249 Tm
0.406 0.073 0.747 Tm
0.594 0.927 0.253 Tm
0.738 0.738 0.751 Tm
0.927 0.594 0.253 Tm
```

Main lines, by angle (2θ from 10° to 90°):
two_theta  I_rel
30.8  100
31.0  33
35.0  24
36.2  44
51.2  16
51.3  16
60.2  14
61.6  9
61.8  9
62.0  9

Record 4
Starting from a DFT-relaxed cell (PBE, Alexandria), the X-ray diffraction stick pattern of CdHg12Pb16 was calculated for Cu Kα (weighted mean of Kα1 and Kα2).
Kinematic intensities with the Lorentz-polarization factor, no thermal factor.

Crystal structure
```
CdHg12Pb16
1.0
5.921 -8.543 0.000
5.921 8.543 0.000
-5.636 0.000 8.216
Cd Hg Pb
1 12 16
Direct
0.000 0.000 0.000 Cd
0.095 0.280 0.321 Hg
0.111 0.930 0.739 Hg
0.124 0.482 0.922 Hg
0.280 0.095 0.321 Hg
0.297 0.935 0.537 Hg
0.472 0.472 0.543 Hg
0.482 0.124 0.922 Hg
0.491 0.669 0.080 Hg
0.669 0.491 0.080 Hg
0.708 0.708 0.906 Hg
0.930 0.111 0.739 Hg
0.935 0.297 0.537 Hg
0.021 0.712 0.130 Pb
0.287 0.620 0.695 Pb
0.292 0.292 0.712 Pb
0.295 0.613 0.329 Pb
0.310 0.876 0.032 Pb
0.315 0.315 0.082 Pb
0.594 0.978 0.412 Pb
0.604 0.910 0.731 Pb
0.613 0.295 0.329 Pb
0.620 0.287 0.695 Pb
0.684 0.684 0.439 Pb
0.712 0.021 0.130 Pb
0.876 0.310 0.032 Pb
0.910 0.604 0.731 Pb
0.950 0.950 0.394 Pb
0.978 0.594 0.412 Pb
```

Main lines, by angle (2θ from 10° to 90°):
two_theta  I_rel
30.2  32
31.4  20
31.7  61
31.8  27
32.0  72
32.1  36
32.5  100
35.0  37
35.3  31
36.5  29